Entry 1:
Structure and theoretical PXRD pattern of Sm3Al3Ga8 (a PBE-relaxed structure; Cu Kα (λ = 1.5418 Å)).
Lines closer than 0.1° are merged.

Principal peaks in the range 2θ from 10° to 80°, in order of rising 2θ:
| d [Å] | Position (°2θ) | I/Imax |
| --- | --- | --- |
| 3.983 | 22.32 | 15 |
| 3.039 | 29.39 | 29 |
| 2.633 | 34.06 | 28 |
| 2.610 | 34.36 | 54 |
| 2.591 | 34.62 | 100 |
| 2.174 | 41.54 | 23 |
| 2.124 | 42.56 | 32 |
| 1.805 | 50.56 | 17 |
| 1.670 | 54.97 | 19 |
| 1.653 | 55.59 | 15 |

Crystal structure
Lattice parameters (Å, degrees): 8.4657 8.4657 8.4657 150.94 108.25 79.21
Fractional positions:
Sm (0.0000, 0.0000, 0.0000)
Sm (0.3168, 0.3168, 0.0000)
Sm (0.6832, 0.6832, 0.0000)
Al (0.2831, 0.5000, 0.7831)
Al (0.5000, 0.0000, 0.5000)
Al (0.7169, 0.5000, 0.2169)
Ga (0.0364, 0.6652, 0.3711)
Ga (0.1386, 0.8618, 0.2768)
Ga (0.2941, 0.6652, 0.6289)
Ga (0.4151, 0.1382, 0.2768)
Ga (0.5849, 0.8618, 0.7232)
Ga (0.7059, 0.3348, 0.3711)
Ga (0.8614, 0.1382, 0.7232)
Ga (0.9636, 0.3348, 0.6289)



Entry 2:
Structure and theoretical PXRD pattern of Pm7YEr12 (a PBE-relaxed structure; Cu Kα (λ = 1.5418 Å)).
Lines closer than 0.1° are merged.

Principal peaks in the range 2θ from 10° to 80°, in order of rising 2θ:
| d [Å] | Position (°2θ) | I/Imax |
| --- | --- | --- |
| 3.094 | 28.86 | 15 |
| 2.902 | 30.81 | 24 |
| 2.816 | 31.77 | 100 |
| 2.746 | 32.61 | 17 |
| 2.700 | 33.18 | 37 |
| 2.461 | 36.51 | 10 |
| 2.340 | 38.47 | 9 |
| 1.799 | 50.74 | 13 |
| 1.653 | 55.61 | 10 |
| 1.566 | 58.98 | 10 |

Crystal structure
Lattice parameters (Å, degrees): 8.7495 8.7495 8.7495 85.86 85.86 85.86
Fractional positions:
Pm (0.0000, 0.0000, 0.0000)
Pm (0.1015, 0.4248, 0.3443)
Pm (0.3443, 0.1015, 0.4248)
Pm (0.4248, 0.3443, 0.1015)
Pm (0.5752, 0.6557, 0.8985)
Pm (0.6557, 0.8985, 0.5752)
Pm (0.8985, 0.5752, 0.6557)
Y (0.5000, 0.5000, 0.5000)
Er (0.0033, 0.8808, 0.3665)
Er (0.1192, 0.6335, 0.9967)
Er (0.2268, 0.3531, 0.7559)
Er (0.2441, 0.7732, 0.6469)
Er (0.3530, 0.7559, 0.2268)
Er (0.3665, 0.0033, 0.8808)
Er (0.6335, 0.9967, 0.1192)
Er (0.6469, 0.2441, 0.7732)
Er (0.7559, 0.2268, 0.3531)
Er (0.7732, 0.6469, 0.2441)
Er (0.8808, 0.3665, 0.0033)
Er (0.9967, 0.1192, 0.6335)



Entry 3:
Structure and theoretical PXRD pattern of PrAlSn3 (a PBE-relaxed structure; Cu Kα (λ = 1.5418 Å)).
Lines closer than 0.1° are merged.

Principal peaks in the range 2θ from 10° to 80°, in order of rising 2θ:
| d [Å] | Position (°2θ) | I/Imax |
| --- | --- | --- |
| 3.198 | 27.90 | 29 |
| 2.888 | 30.96 | 53 |
| 2.841 | 31.49 | 100 |
| 2.613 | 34.33 | 47 |
| 2.578 | 34.80 | 50 |
| 2.558 | 35.07 | 30 |
| 2.544 | 35.28 | 30 |
| 2.265 | 39.80 | 51 |
| 1.695 | 54.10 | 42 |
| 1.390 | 67.39 | 28 |

Crystal structure
Lattice parameters (Å, degrees): 12.7920 6.3407 6.4734 90.00 90.00 90.00
Fractional positions:
Pr (0.1965, 0.0095, 0.2500)
Pr (0.1965, 0.4905, 0.7500)
Pr (0.8035, 0.5095, 0.2500)
Pr (0.8035, 0.9905, 0.7500)
Al (0.3861, 0.2500, 0.0000)
Al (0.3861, 0.2500, 0.5000)
Al (0.6139, 0.7500, 0.0000)
Al (0.6139, 0.7500, 0.5000)
Sn (0.9999, 0.2500, 0.0000)
Sn (0.9999, 0.2500, 0.5000)
Sn (0.0001, 0.7500, 0.0000)
Sn (0.0001, 0.7500, 0.5000)
Sn (0.2491, 0.5160, 0.2500)
Sn (0.2491, 0.9840, 0.7500)
Sn (0.4376, 0.6490, 0.7500)
Sn (0.4376, 0.8510, 0.2500)
Sn (0.5624, 0.1490, 0.7500)
Sn (0.5624, 0.3510, 0.2500)
Sn (0.7509, 0.0160, 0.2500)
Sn (0.7509, 0.4840, 0.7500)



Entry 4:
Structure and theoretical PXRD pattern of RbNp2Pb2O7 (a PBE-relaxed structure; Cu Kα (λ = 1.5418 Å)).
Lines closer than 0.1° are merged.

Principal peaks in the range 2θ from 10° to 80°, in order of rising 2θ:
| d [Å] | Position (°2θ) | I/Imax |
| --- | --- | --- |
| 4.232 | 20.99 | 33 |
| 4.160 | 21.36 | 49 |
| 3.774 | 23.58 | 34 |
| 3.280 | 27.19 | 100 |
| 2.929 | 30.52 | 79 |
| 2.748 | 32.58 | 57 |
| 2.150 | 42.03 | 25 |
| 1.774 | 51.53 | 37 |
| 1.730 | 52.93 | 39 |
| 1.693 | 54.17 | 28 |

Crystal structure
Lattice parameters (Å, degrees): 13.0340 13.0340 13.0340 161.38 161.01 26.72
Fractional positions:
Rb (0.0000, 0.0000, 0.0000)
Np (0.4143, 0.4143, 0.0000)
Np (0.5857, 0.5857, 0.0000)
Pb (0.2078, 0.7078, 0.5000)
Pb (0.7922, 0.2922, 0.5000)
O (0.0887, 0.5887, 0.5000)
O (0.3321, 0.3321, 0.0000)
O (0.4177, 0.9177, 0.5000)
O (0.5000, 0.5000, 0.0000)
O (0.5823, 0.0823, 0.5000)
O (0.6679, 0.6679, 0.0000)
O (0.9113, 0.4113, 0.5000)